Structure and theoretical powder diffractogram of Sm6TlSb2 (a DFT-relaxed cell (GGA-PBE, Alexandria); Cu Kα).
Kinematic intensities with the Lorentz-polarization factor, no thermal factor.

```
data_Sm6TlSb2
_space_group_name_H-M_alt 'P -6 2 m'
_space_group_IT_number 189
_space_group_name_Hall 'P -6 -2'
_cell_length_a 8.5248
_cell_length_b 8.5248
_cell_length_c 4.4146
_cell_angle_alpha 90.00
_cell_angle_beta 90.00
_cell_angle_gamma 120.00
loop_
_atom_site_label
_atom_site_fract_x
_atom_site_fract_y
_atom_site_fract_z
Sm1 0.0000 0.4110 0.0000
Sm2 0.0000 0.7408 0.5000
Tl1 0.0000 0.0000 0.0000
Sb1 0.3333 0.6667 0.5000
```

Top 10 peaks for 10 to 80 degrees two-theta, low angle first:
2theta, intensity
29.1, 831
31.6, 1000
32.1, 418
36.5, 412
38.2, 367
40.9, 265
52.9, 204
56.0, 240
58.4, 388
72.6, 129